1.
Structure and simulated powder diffractogram of Ir3Pb (a crystal structure in the Materials Project, relaxed with PBE; Cu Kα (λ = 1.5418 Å)).
Peak positions follow from Bragg's law for the DFT cell and can differ from measured ones.

Structural model:
a b c (Å): 4.0520 4.0520 4.0520
angles (deg): 90.00 90.00 90.00
Space group Pm-3m (No. 221)
One atom of each set of equivalent atoms:
Ir: 0.0000 0.0000 0.5000 [3 per cell]
Pb: 0.5000 0.5000 0.5000 [1 per cell]

Peak list (5 most intense, 10 to 90 degrees two-theta, sorted by position)
two_theta  intensity  index
38.5  100  1 1 1
44.7  49  2 0 0
65.1  33  2 2 0
78.2  39  3 1 1
82.5  12  2 2 2


2.
Structure and simulated powder diffractogram of IrPd3 (a crystal structure in the Materials Project, relaxed with PBE; Cu Kα (λ = 1.5418 Å)).
Peak positions follow from Bragg's law for the DFT cell and can differ from measured ones.

Structural model:
a b c (Å): 3.9389 3.9389 7.7857
angles (deg): 90.00 90.00 90.00
Space group I4/mmm (No. 139)
One atom of each set of equivalent atoms:
Ir: 0.0000 0.0000 0.0000 [2 per cell]
Pd: 0.0000 0.0000 0.5000 [2 per cell]
Pd: 0.0000 0.5000 0.2500 [4 per cell]

Peak list (12 most intense, 10 to 90 degrees two-theta, sorted by position)
two_theta  intensity  index
22.8  2  0 0 2
25.3  8  1 0 1
39.8  100  1 1 2
41.7  2  1 0 3
46.1  33  2 0 0
46.7  16  0 0 4
53.3  2  2 1 1
67.2  11  2 2 0
67.7  21  2 0 4
81.1  25  3 1 2
81.9  12  1 1 6
85.8  11  2 2 4